The following is a simulated X-ray diffraction stick pattern of Mn7FeCl3O10. It was derived from the PBE+U geometry in Alexandria, using λ = 1.5418 Å (Cu Kα).
Peak positions follow from Bragg's law for the DFT cell and can differ from measured ones.

Largest 8 diffraction maxima, sorted by position, 2θ = 5–70°:
11.49°, I = 432
22.10°, I = 421
26.73°, I = 486
34.95°, I = 1000
39.98°, I = 206
40.57°, I = 318
42.87°, I = 203
58.72°, I = 721

Structure:
a b c (Å): 9.4337 9.4337 9.4337
angles (deg): 60.00 60.00 60.00
Atoms (fractional coordinates):
Mn  0.0000  0.0000  0.0000
Mn  0.0000  0.0000  0.3514
Mn  0.0000  0.0000  0.6486
Mn  0.0000  0.3514  0.0000
Mn  0.0000  0.3514  0.6486
Mn  0.0000  0.6486  0.0000
Mn  0.0000  0.6486  0.3514
Mn  0.3514  0.0000  0.0000
Mn  0.3514  0.0000  0.6486
Mn  0.3514  0.6486  0.0000
Mn  0.5000  0.5000  0.5000
Mn  0.6486  0.0000  0.0000
Mn  0.6486  0.0000  0.3514
Mn  0.6486  0.3514  0.0000
Fe  0.2500  0.2500  0.2500
Fe  0.7500  0.7500  0.7500
Cl  0.3028  0.3028  0.6972
Cl  0.3028  0.6972  0.3028
Cl  0.3028  0.6972  0.6972
Cl  0.6972  0.3028  0.3028
Cl  0.6972  0.3028  0.6972
Cl  0.6972  0.6972  0.3028
O  0.0953  0.0953  0.4047
O  0.0953  0.4047  0.0953
O  0.0953  0.4047  0.4047
O  0.1002  0.1002  0.1002
O  0.1002  0.1002  0.6994
O  0.1002  0.6994  0.1002
O  0.3006  0.8998  0.8998
O  0.4047  0.0953  0.0953
O  0.4047  0.0953  0.4047
O  0.4047  0.4047  0.0953
O  0.5953  0.5953  0.9047
O  0.5953  0.9047  0.5953
O  0.5953  0.9047  0.9047
O  0.6994  0.1002  0.1002
O  0.8998  0.3006  0.8998
O  0.8998  0.8998  0.3006
O  0.8998  0.8998  0.8998
O  0.9047  0.5953  0.5953
O  0.9047  0.5953  0.9047
O  0.9047  0.9047  0.5953